(1)
Diffraction record for ErCoPd. The X-ray powder pattern is computed, not measured: it uses the PBE geometry in OQMD and copper Kα.

Top 10 peaks for 2θ = 10–90°, in order of rising 2θ:
| 2theta | I/Imax | (hkl) |
| --- | --- | --- |
| 24.6 | 50 | 1 1 1 |
| 28.5 | 16 | 2 0 0 |
| 40.7 | 100 | 2 2 0 |
| 48.1 | 25 | 3 1 1 |
| 58.9 | 17 | 4 0 0 |
| 64.8 | 10 | 3 3 1 |
| 66.7 | 6 | 4 2 0 |
| 74.0 | 33 | 4 2 2 |
| 79.4 | 8 | 5 1 1 |
| 88.1 | 11 | 4 4 0 |

```
data_ErCoPd
_chemical_formula_sum 'Er4 Co4 Pd4'
_symmetry_space_group_name_H-M 'F -4 3 m'
_symmetry_Int_Tables_number 216
_symmetry_space_group_name_Hall 'F -4 2 3'
_cell_length_a 6.273
_cell_length_b 6.273
_cell_length_c 6.273
_cell_angle_alpha 90.00
_cell_angle_beta 90.00
_cell_angle_gamma 90.00
loop_
_atom_site_label
_atom_site_fract_x
_atom_site_fract_y
_atom_site_fract_z
Er1 0.000 0.000 0.000
Co1 0.000 0.000 0.500
Pd1 0.250 0.250 0.250
```

(2)
Diffraction record for Er5CoSb2. The X-ray powder pattern is computed, not measured: it uses the PBE geometry in OQMD and copper Kα.

Top 10 peaks for 2θ = 10–90°, in order of rising 2θ:
| 2theta | I/Imax | (hkl) |
| --- | --- | --- |
| 27.7 | 18 | 2 2 1 |
| 31.7 | 100 | 4 0 1 |
| 31.9 | 16 | 3 0 2 |
| 32.4 | 53 | 3 2 1 |
| 34.2 | 32 | 2 2 2 |
| 35.3 | 18 | 1 0 3 |
| 36.2 | 16 | 4 2 0 |
| 39.1 | 9 | 2 1 3 |
| 41.5 | 23 | 0 4 0 |
| 53.2 | 12 | 4 4 1 |

```
data_Er5CoSb2
_chemical_formula_sum 'Er20 Co4 Sb8'
_symmetry_space_group_name_H-M 'P n m a'
_symmetry_Int_Tables_number 62
_cell_length_a 12.085
_cell_length_b 8.710
_cell_length_c 7.802
_cell_angle_alpha 90.00
_cell_angle_beta 90.00
_cell_angle_gamma 90.00
loop_
_symmetry_equiv_pos_as_xyz
'x,y,z'
'-x,-y,-z'
'-x+1/2,-y,z+1/2'
'x+1/2,y,-z+1/2'
'x+1/2,-y+1/2,-z+1/2'
'-x+1/2,y+1/2,z+1/2'
'-x,y+1/2,-z'
'x,-y+1/2,z'
loop_
_atom_site_label
_atom_site_fract_x
_atom_site_fract_y
_atom_site_fract_z
Er1 0.002 0.250 0.049
Er2 0.065 0.538 0.324
Er3 0.192 0.250 0.622
Er4 0.204 0.750 0.656
Co1 0.010 0.250 0.430
Sb1 0.173 0.008 0.931
```